Structure and simulated powder XRD pattern of HoUHg (a PBE-relaxed structure; Cu Kα (weighted mean of Kα1 and Kα2)).
Neutral-atom scattering factors, no anomalous dispersion.

abc: 9.663 9.663 4.758
angles: 90.00 90.00 160.91
Fractional positions:
Ho  0.129  0.871  0.750
Ho  0.871  0.129  0.250
U  0.473  0.527  0.750
U  0.527  0.473  0.250
Hg  0.297  0.703  0.750
Hg  0.703  0.297  0.250

Top 10 peaks for 5° ≤ 2θ ≤ 70°, by angle:
| 2theta | d (Å) | intensity |
| --- | --- | --- |
| 28.24 | 3.160 | 15 |
| 33.93 | 2.642 | 100 |
| 34.06 | 2.632 | 80 |
| 36.64 | 2.453 | 58 |
| 37.82 | 2.379 | 44 |
| 47.84 | 1.901 | 20 |
| 53.67 | 1.708 | 37 |
| 64.17 | 1.451 | 26 |
| 65.85 | 1.418 | 27 |
| 68.49 | 1.370 | 27 |